Theoretical powder diffraction line list
Compound: LiCe4Ga12
Radiation: Cu Kα
Structure: DFT lattice parameters and positions (GGA-PBE)
Neutral-atom scattering factors, no anomalous dispersion.

Structure:
Lattice parameters (Å, degrees): 7.614 7.614 7.614 109.47 109.47 109.47
Element x y z (fractional)
Li: 0.000 0.000 0.000
Ce: 0.000 0.000 0.500
Ce: 0.000 0.500 0.000
Ce: 0.500 0.000 0.000
Ce: 0.500 0.500 0.500
Ga: 0.000 0.302 0.302
Ga: 0.000 0.698 0.698
Ga: 0.250 0.500 0.750
Ga: 0.250 0.750 0.500
Ga: 0.302 0.000 0.302
Ga: 0.302 0.302 0.000
Ga: 0.500 0.250 0.750
Ga: 0.500 0.750 0.250
Ga: 0.698 0.000 0.698
Ga: 0.698 0.698 0.000
Ga: 0.750 0.250 0.500
Ga: 0.750 0.500 0.250

Main lines, in order of falling intensity (2θ = 10–80°):
35.37°, I = 100
41.07°, I = 49
71.13°, I = 29
59.48°, I = 27
28.72°, I = 15
46.18°, I = 9
20.20°, I = 9
74.82°, I = 8
43.68°, I = 6
67.36°, I = 6